This entry pairs a crystal structure of Ac3ZnAg3O8 with its computed PXRD pattern. Radiation: Cu Kα (weighted mean of Kα1 and Kα2). Structure: a DFT-relaxed cell (GGA-PBE, Alexandria).
Lines closer than 0.1° are merged.

The 12 most intense peaks (2θ = 15–90°), low angle first:
Position (°2θ), I_rel
15.3, 27
15.4, 36
28.3, 43
29.8, 71
30.9, 100
31.2, 34
41.1, 23
44.2, 35
50.4, 24
52.4, 18
53.4, 16
54.0, 20

Structural model:
```
data_Ac3ZnAg3O8
_chemical_formula_sum 'Ac3 Zn1 Ag3 O8'
_space_group_name_H-M_alt 'P 1'
_space_group_IT_number 1
_space_group_name_Hall 'P 1'
_cell_length_a 7.058
_cell_length_b 7.058
_cell_length_c 8.241
_cell_angle_alpha 121.68
_cell_angle_beta 121.68
_cell_angle_gamma 70.92
loop_
_atom_site_label
_atom_site_fract_x
_atom_site_fract_y
_atom_site_fract_z
_atom_site_occupancy
Ac1 0.000 0.000 0.000 1
Ac2 0.000 0.500 0.500 1
Ac3 0.500 0.000 0.500 1
Zn1 0.500 0.500 0.000 1
Ag1 0.000 0.500 0.000 1
Ag2 0.500 0.000 0.000 1
Ag3 0.500 0.500 0.500 1
O1 0.198 0.762 0.188 1
O2 0.238 0.802 0.812 1
O3 0.267 0.267 0.334 1
O4 0.306 0.306 0.738 1
O5 0.694 0.694 0.262 1
O6 0.733 0.733 0.666 1
O7 0.762 0.198 0.188 1
O8 0.802 0.238 0.812 1
```

This entry pairs a crystal structure of AcAg4P with its computed PXRD pattern. Radiation: Cu Kα (weighted mean of Kα1 and Kα2). Structure: a DFT-relaxed cell (GGA-PBE, Alexandria).
Lines closer than 0.1° are merged.

The 12 most intense peaks (2θ = 15–90°), low angle first:
Position (°2θ), I_rel
19.1, 18
22.1, 19
31.5, 27
37.1, 100
38.8, 39
49.4, 5
50.8, 8
56.0, 11
59.8, 33
65.7, 24
77.9, 11
79.0, 14

Structural model:
```
data_AcAg4P
_chemical_formula_sum 'Ac1 Ag4 P1'
_space_group_name_H-M_alt 'P 1'
_space_group_IT_number 1
_space_group_name_Hall 'P 1'
_cell_length_a 5.684
_cell_length_b 5.684
_cell_length_c 5.684
_cell_angle_alpha 60.00
_cell_angle_beta 60.00
_cell_angle_gamma 60.00
loop_
_atom_site_label
_atom_site_fract_x
_atom_site_fract_y
_atom_site_fract_z
_atom_site_occupancy
Ac1 0.000 0.000 0.000 1
Ag1 0.127 0.624 0.624 1
Ag2 0.624 0.127 0.624 1
Ag3 0.624 0.624 0.127 1
Ag4 0.624 0.624 0.624 1
P1 0.250 0.250 0.250 1
```

This entry pairs a crystal structure of AcAg2Pb with its computed PXRD pattern. Radiation: Cu Kα (weighted mean of Kα1 and Kα2). Structure: a DFT-relaxed cell (GGA-PBE, Alexandria).
Lines closer than 0.1° are merged.

The 10 most intense peaks (2θ = 15–90°), low angle first:
Position (°2θ), I_rel
23.6, 11
33.7, 100
41.6, 4
48.4, 18
54.5, 5
60.3, 37
70.8, 12
75.9, 3
80.8, 16
85.6, 2

Structural model:
```
data_AcAg2Pb
_chemical_formula_sum 'Ac4 Ag8 Pb4'
_space_group_name_H-M_alt 'P 1'
_space_group_IT_number 1
_space_group_name_Hall 'P 1'
_cell_length_a 7.525
_cell_length_b 7.525
_cell_length_c 7.525
_cell_angle_alpha 90.00
_cell_angle_beta 90.00
_cell_angle_gamma 90.00
loop_
_atom_site_label
_atom_site_fract_x
_atom_site_fract_y
_atom_site_fract_z
_atom_site_occupancy
Ac1 0.000 0.000 0.000 1
Ac2 0.000 0.500 0.500 1
Ac3 0.500 0.000 0.500 1
Ac4 0.500 0.500 0.000 1
Ag1 0.250 0.250 0.250 1
Ag2 0.250 0.250 0.750 1
Ag3 0.250 0.750 0.250 1
Ag4 0.250 0.750 0.750 1
Ag5 0.750 0.250 0.250 1
Ag6 0.750 0.250 0.750 1
Ag7 0.750 0.750 0.250 1
Ag8 0.750 0.750 0.750 1
Pb1 0.000 0.000 0.500 1
Pb2 0.000 0.500 0.000 1
Pb3 0.500 0.000 0.000 1
Pb4 0.500 0.500 0.500 1
```

This entry pairs a crystal structure of AcAg3Pb3 with its computed PXRD pattern. Radiation: Cu Kα (weighted mean of Kα1 and Kα2). Structure: a DFT-relaxed cell (GGA-PBE, Alexandria).
Lines closer than 0.1° are merged.

The 12 most intense peaks (2θ = 15–90°), low angle first:
Position (°2θ), I_rel
22.9, 41
25.7, 14
28.2, 100
40.2, 24
43.6, 62
46.8, 30
52.7, 18
55.5, 15
65.9, 18
68.3, 19
75.5, 19
84.7, 10

Structural model:
```
data_AcAg3Pb3
_chemical_formula_sum 'Ac2 Ag6 Pb6'
_space_group_name_H-M_alt 'P 1'
_space_group_IT_number 1
_space_group_name_Hall 'P 1'
_cell_length_a 7.765
_cell_length_b 7.765
_cell_length_c 7.765
_cell_angle_alpha 90.00
_cell_angle_beta 90.00
_cell_angle_gamma 90.00
loop_
_atom_site_label
_atom_site_fract_x
_atom_site_fract_y
_atom_site_fract_z
_atom_site_occupancy
Ac1 0.000 0.000 0.000 1
Ac2 0.500 0.500 0.500 1
Ag1 0.000 0.250 0.500 1
Ag2 0.000 0.750 0.500 1
Ag3 0.250 0.500 0.000 1
Ag4 0.500 0.000 0.250 1
Ag5 0.500 0.000 0.750 1
Ag6 0.750 0.500 0.000 1
Pb1 0.000 0.500 0.250 1
Pb2 0.000 0.500 0.750 1
Pb3 0.250 0.000 0.500 1
Pb4 0.500 0.250 0.000 1
Pb5 0.500 0.750 0.000 1
Pb6 0.750 0.000 0.500 1
```

This entry pairs a crystal structure of Ac2AgPb2 with its computed PXRD pattern. Radiation: Cu Kα (weighted mean of Kα1 and Kα2). Structure: a DFT-relaxed cell (GGA-PBE, Alexandria).
Lines closer than 0.1° are merged.

The 12 most intense peaks (2θ = 15–90°), low angle first:
Position (°2θ), I_rel
28.1, 41
28.3, 43
28.8, 100
29.0, 44
31.5, 41
33.5, 24
34.4, 98
36.2, 61
47.0, 24
55.3, 25
60.1, 18
64.0, 17

Structural model:
```
data_Ac2AgPb2
_chemical_formula_sum 'Ac4 Ag2 Pb4'
_space_group_name_H-M_alt 'P 1'
_space_group_IT_number 1
_space_group_name_Hall 'P 1'
_cell_length_a 6.650
_cell_length_b 6.650
_cell_length_c 12.045
_cell_angle_alpha 115.08
_cell_angle_beta 115.08
_cell_angle_gamma 43.84
loop_
_atom_site_label
_atom_site_fract_x
_atom_site_fract_y
_atom_site_fract_z
_atom_site_occupancy
Ac1 0.011 0.011 0.334 1
Ac2 0.185 0.185 0.109 1
Ac3 0.815 0.815 0.891 1
Ac4 0.989 0.989 0.666 1
Ag1 0.285 0.285 0.662 1
Ag2 0.715 0.715 0.338 1
Pb1 0.349 0.349 0.437 1
Pb2 0.470 0.470 0.116 1
Pb3 0.530 0.530 0.884 1
Pb4 0.651 0.651 0.563 1
```

This entry pairs a crystal structure of AcAg2Pb with its computed PXRD pattern. Radiation: Cu Kα (weighted mean of Kα1 and Kα2). Structure: a DFT-relaxed cell (GGA-PBE, Alexandria).
Lines closer than 0.1° are merged.

The 12 most intense peaks (2θ = 15–90°), low angle first:
Position (°2θ), I_rel
24.0, 17
31.2, 73
31.5, 100
32.5, 28
36.8, 37
38.0, 18
47.8, 15
49.9, 17
61.8, 14
62.8, 17
63.0, 14
70.4, 16

Structural model:
```
data_AcAg2Pb
_chemical_formula_sum 'Ac4 Ag8 Pb4'
_space_group_name_H-M_alt 'P 1'
_space_group_IT_number 1
_space_group_name_Hall 'P 1'
_cell_length_a 4.885
_cell_length_b 11.886
_cell_length_c 7.422
_cell_angle_alpha 90.00
_cell_angle_beta 90.00
_cell_angle_gamma 90.00
loop_
_atom_site_label
_atom_site_fract_x
_atom_site_fract_y
_atom_site_fract_z
_atom_site_occupancy
Ac1 0.000 0.085 0.250 1
Ac2 0.000 0.915 0.750 1
Ac3 0.500 0.415 0.750 1
Ac4 0.500 0.585 0.250 1
Ag1 0.000 0.387 0.059 1
Ag2 0.000 0.387 0.441 1
Ag3 0.000 0.613 0.559 1
Ag4 0.000 0.613 0.941 1
Ag5 0.500 0.113 0.559 1
Ag6 0.500 0.113 0.941 1
Ag7 0.500 0.887 0.059 1
Ag8 0.500 0.887 0.441 1
Pb1 0.000 0.209 0.750 1
Pb2 0.000 0.791 0.250 1
Pb3 0.500 0.291 0.250 1
Pb4 0.500 0.709 0.750 1
```

This entry pairs a crystal structure of Ac3Ag6Pb5 with its computed PXRD pattern. Radiation: Cu Kα (weighted mean of Kα1 and Kα2). Structure: a DFT-relaxed cell (GGA-PBE, Alexandria).
Lines closer than 0.1° are merged.

The 12 most intense peaks (2θ = 15–90°), low angle first:
Position (°2θ), I_rel
26.1, 43
30.9, 100
31.0, 32
33.3, 28
36.2, 15
37.0, 41
37.4, 23
38.5, 15
39.9, 28
49.0, 18
53.6, 18
57.7, 18

Structural model:
```
data_Ac3Ag6Pb5
_chemical_formula_sum 'Ac3 Ag6 Pb5'
_space_group_name_H-M_alt 'P 1'
_space_group_IT_number 1
_space_group_name_Hall 'P 1'
_cell_length_a 9.342
_cell_length_b 9.342
_cell_length_c 9.342
_cell_angle_alpha 149.85
_cell_angle_beta 109.08
_cell_angle_gamma 78.95
loop_
_atom_site_label
_atom_site_fract_x
_atom_site_fract_y
_atom_site_fract_z
_atom_site_occupancy
Ac1 0.000 0.000 0.000 1
Ac2 0.313 0.313 0.000 1
Ac3 0.687 0.687 0.000 1
Ag1 0.152 0.873 0.278 1
Ag2 0.294 0.500 0.794 1
Ag3 0.405 0.127 0.278 1
Ag4 0.595 0.873 0.722 1
Ag5 0.706 0.500 0.206 1
Ag6 0.848 0.127 0.722 1
Pb1 0.026 0.669 0.357 1
Pb2 0.312 0.669 0.643 1
Pb3 0.500 0.000 0.500 1
Pb4 0.688 0.331 0.357 1
Pb5 0.974 0.331 0.643 1
```

This entry pairs a crystal structure of Ac5Ag2Pb5 with its computed PXRD pattern. Radiation: Cu Kα (weighted mean of Kα1 and Kα2). Structure: a DFT-relaxed cell (GGA-PBE, Alexandria).
Lines closer than 0.1° are merged.

The 12 most intense peaks (2θ = 15–90°), low angle first:
Position (°2θ), I_rel
23.8, 22
28.5, 100
29.2, 48
29.8, 37
30.7, 31
33.3, 31
33.4, 90
36.3, 50
47.3, 27
50.0, 20
57.7, 21
59.0, 23

Structural model:
```
data_Ac5Ag2Pb5
_chemical_formula_sum 'Ac5 Ag2 Pb5'
_space_group_name_H-M_alt 'P 1'
_space_group_IT_number 1
_space_group_name_Hall 'P 1'
_cell_length_a 9.096
_cell_length_b 9.096
_cell_length_c 12.185
_cell_angle_alpha 127.74
_cell_angle_beta 127.74
_cell_angle_gamma 31.60
loop_
_atom_site_label
_atom_site_fract_x
_atom_site_fract_y
_atom_site_fract_z
_atom_site_occupancy
Ac1 0.000 0.000 0.000 1
Ac2 0.110 0.110 0.419 1
Ac3 0.195 0.195 0.826 1
Ac4 0.805 0.805 0.174 1
Ac5 0.890 0.890 0.581 1
Ag1 0.358 0.358 0.750 1
Ag2 0.642 0.642 0.250 1
Pb1 0.256 0.256 0.317 1
Pb2 0.437 0.437 0.150 1
Pb3 0.500 0.500 0.500 1
Pb4 0.563 0.563 0.850 1
Pb5 0.744 0.744 0.683 1
```

This entry pairs a crystal structure of Ac3AgPd8Pb2 with its computed PXRD pattern. Radiation: Cu Kα (weighted mean of Kα1 and Kα2). Structure: a DFT-relaxed cell (GGA-PBE, Alexandria).
Lines closer than 0.1° are merged.

The 12 most intense peaks (2θ = 15–90°), low angle first:
Position (°2θ), I_rel
24.1, 40
30.1, 26
31.5, 89
35.5, 58
37.0, 100
37.5, 38
40.1, 56
56.2, 18
59.8, 50
65.9, 32
78.0, 23
78.9, 18

Structural model:
```
data_Ac3AgPd8Pb2
_chemical_formula_sum 'Ac3 Ag1 Pd8 Pb2'
_space_group_name_H-M_alt 'P 1'
_space_group_IT_number 1
_space_group_name_Hall 'P 1'
_cell_length_a 5.673
_cell_length_b 5.673
_cell_length_c 11.164
_cell_angle_alpha 90.00
_cell_angle_beta 90.00
_cell_angle_gamma 120.00
loop_
_atom_site_label
_atom_site_fract_x
_atom_site_fract_y
_atom_site_fract_z
_atom_site_occupancy
Ac1 0.000 0.000 0.000 1
Ac2 0.333 0.667 0.585 1
Ac3 0.667 0.333 0.415 1
Ag1 0.000 0.000 0.500 1
Pd1 0.163 0.326 0.294 1
Pd2 0.163 0.837 0.294 1
Pd3 0.326 0.163 0.706 1
Pd4 0.333 0.667 0.851 1
Pd5 0.667 0.333 0.149 1
Pd6 0.674 0.837 0.294 1
Pd7 0.837 0.163 0.706 1
Pd8 0.837 0.674 0.706 1
Pb1 0.333 0.667 0.101 1
Pb2 0.667 0.333 0.899 1
```

This entry pairs a crystal structure of Ac2AgPd6Pb3 with its computed PXRD pattern. Radiation: Cu Kα (weighted mean of Kα1 and Kα2). Structure: a DFT-relaxed cell (GGA-PBE, Alexandria).
Lines closer than 0.1° are merged.

The 12 most intense peaks (2θ = 15–90°), low angle first:
Position (°2θ), I_rel
25.9, 100
29.6, 43
30.0, 31
31.3, 23
42.0, 33
42.3, 60
43.2, 68
50.2, 34
61.1, 22
61.3, 22
69.6, 21
77.9, 25

Structural model:
```
data_Ac2AgPd6Pb3
_chemical_formula_sum 'Ac2 Ag1 Pd6 Pb3'
_space_group_name_H-M_alt 'P 1'
_space_group_IT_number 1
_space_group_name_Hall 'P 1'
_cell_length_a 4.274
_cell_length_b 4.274
_cell_length_c 17.446
_cell_angle_alpha 90.00
_cell_angle_beta 90.00
_cell_angle_gamma 90.00
loop_
_atom_site_label
_atom_site_fract_x
_atom_site_fract_y
_atom_site_fract_z
_atom_site_occupancy
Ac1 0.000 0.000 0.191 1
Ac2 0.000 0.000 0.809 1
Ag1 0.000 0.000 0.500 1
Pd1 0.000 0.500 0.403 1
Pd2 0.000 0.500 0.597 1
Pd3 0.500 0.000 0.403 1
Pd4 0.500 0.000 0.597 1
Pd5 0.500 0.500 0.152 1
Pd6 0.500 0.500 0.848 1
Pb1 0.500 0.500 0.000 1
Pb2 0.500 0.500 0.310 1
Pb3 0.500 0.500 0.690 1
```

This entry pairs a crystal structure of Ac2AgRhPb with its computed PXRD pattern. Radiation: Cu Kα (weighted mean of Kα1 and Kα2). Structure: a DFT-relaxed cell (GGA-PBE, Alexandria).
Lines closer than 0.1° are merged.

The 12 most intense peaks (2θ = 15–90°), low angle first:
Position (°2θ), I_rel
27.6, 41
28.6, 53
29.3, 100
29.7, 27
30.2, 62
32.0, 34
32.8, 81
33.2, 79
35.4, 87
38.3, 37
41.5, 61
54.2, 40

Structural model:
```
data_Ac2AgRhPb
_chemical_formula_sum 'Ac4 Ag2 Rh2 Pb2'
_space_group_name_H-M_alt 'P 1'
_space_group_IT_number 1
_space_group_name_Hall 'P 1'
_cell_length_a 8.396
_cell_length_b 4.348
_cell_length_c 8.651
_cell_angle_alpha 90.00
_cell_angle_beta 110.68
_cell_angle_gamma 90.00
loop_
_atom_site_label
_atom_site_fract_x
_atom_site_fract_y
_atom_site_fract_z
_atom_site_occupancy
Ac1 0.118 0.250 0.343 1
Ac2 0.286 0.250 0.986 1
Ac3 0.714 0.750 0.014 1
Ac4 0.882 0.750 0.657 1
Ag1 0.437 0.750 0.345 1
Ag2 0.563 0.250 0.655 1
Rh1 0.103 0.750 0.093 1
Rh2 0.897 0.250 0.907 1
Pb1 0.321 0.750 0.672 1
Pb2 0.679 0.250 0.328 1
```

This entry pairs a crystal structure of Ac3Ag2Pd4 with its computed PXRD pattern. Radiation: Cu Kα (weighted mean of Kα1 and Kα2). Structure: a DFT-relaxed cell (GGA-PBE, Alexandria).
Lines closer than 0.1° are merged.

The 12 most intense peaks (2θ = 15–90°), low angle first:
Position (°2θ), I_rel
21.8, 13
31.3, 100
38.3, 53
45.1, 10
50.3, 27
60.6, 25
64.9, 25
69.3, 9
74.6, 7
82.1, 6
86.6, 10
87.1, 5

Structural model:
```
data_Ac3Ag2Pd4
_chemical_formula_sum 'Ac6 Ag4 Pd8'
_space_group_name_H-M_alt 'P 1'
_space_group_IT_number 1
_space_group_name_Hall 'P 1'
_cell_length_a 4.697
_cell_length_b 4.697
_cell_length_c 24.116
_cell_angle_alpha 90.00
_cell_angle_beta 90.00
_cell_angle_gamma 120.00
loop_
_atom_site_label
_atom_site_fract_x
_atom_site_fract_y
_atom_site_fract_z
_atom_site_occupancy
Ac1 0.000 0.000 0.080 1
Ac2 0.000 0.000 0.250 1
Ac3 0.000 0.000 0.408 1
Ac4 0.000 0.000 0.592 1
Ac5 0.000 0.000 0.750 1
Ac6 0.000 0.000 0.920 1
Ag1 0.333 0.667 0.500 1
Ag2 0.667 0.333 0.165 1
Ag3 0.667 0.333 0.500 1
Ag4 0.667 0.333 0.835 1
Pd1 0.333 0.667 0.000 1
Pd2 0.333 0.667 0.166 1
Pd3 0.333 0.667 0.332 1
Pd4 0.333 0.667 0.668 1
Pd5 0.333 0.667 0.834 1
Pd6 0.667 0.333 0.000 1
Pd7 0.667 0.333 0.331 1
Pd8 0.667 0.333 0.669 1
```